Calculated powder diffraction line list of Si3Ag3Sn2P6 for λ = 1.5418 Å (Cu Kα), from a cell relaxed with PBE.
Intensities are scaled so that the largest is 100.

Structure:
abc: 9.053 9.053 9.053
angles: 109.47 109.47 109.47
Element x y z (fractional)
Si1 0.250 0.500 0.750
Si2 0.250 0.750 0.500
Si3 0.500 0.250 0.750
Si4 0.500 0.750 0.250
Si5 0.750 0.250 0.500
Si6 0.750 0.500 0.250
Ag1 0.000 0.199 0.199
Ag2 0.000 0.801 0.801
Ag3 0.199 0.000 0.199
Ag4 0.199 0.199 0.000
Ag5 0.801 0.000 0.801
Ag6 0.801 0.801 0.000
Sn1 0.000 0.000 0.409
Sn2 0.000 0.409 0.000
Sn3 0.409 0.000 0.000
Sn4 0.591 0.591 0.591
P1 0.000 0.501 0.753
P2 0.000 0.753 0.501
P3 0.247 0.247 0.748
P4 0.247 0.748 0.247
P5 0.252 0.499 0.499
P6 0.499 0.252 0.499
P7 0.499 0.499 0.252
P8 0.501 0.000 0.753
P9 0.501 0.753 0.000
P10 0.748 0.247 0.247
P11 0.753 0.000 0.501
P12 0.753 0.501 0.000

Main lines, in order of rising 2θ (2θ from 5° to 70°):
- d 7.392, rel. 77
- d 3.018, rel. 100
- d 2.794, rel. 29
- d 2.464, rel. 31
- d 2.229, rel. 56
- d 2.050, rel. 55

Calculated powder diffraction line list of LiBe2Nb for λ = 1.5418 Å (Cu Kα), from a cell relaxed with PBE.
Intensities are scaled so that the largest is 100.

Structure:
abc: 4.009 4.009 4.009
angles: 60.00 60.00 60.00
Element x y z (fractional)
Li1 0.000 0.000 0.000
Be1 0.250 0.250 0.250
Be2 0.500 0.500 0.500
Nb1 0.750 0.750 0.750

Main lines, in order of rising 2θ (2θ from 5° to 70°):
- d 3.274, rel. 100
- d 2.835, rel. 52
- d 2.005, rel. 58
- d 1.710, rel. 45
- d 1.637, rel. 13
- d 1.417, rel. 9

Calculated powder diffraction line list of TbGdCu2N4 for λ = 1.5418 Å (Cu Kα), from a cell relaxed with PBE.
Intensities are scaled so that the largest is 100.

Structure:
abc: 3.389 3.389 8.330
angles: 90.00 90.00 90.00
Element x y z (fractional)
Tb1 0.000 0.000 0.000
Gd1 0.500 0.500 0.396
Cu1 0.000 0.500 0.698
Cu2 0.500 0.000 0.698
N1 0.000 0.000 0.540
N2 0.000 0.500 0.196
N3 0.500 0.000 0.196
N4 0.500 0.500 0.856

Main lines, in order of rising 2θ (2θ from 5° to 70°):
- d 3.139, rel. 100
- d 2.777, rel. 29
- d 2.629, rel. 39
- d 2.077, rel. 76
- d 1.774, rel. 27
- d 1.695, rel. 27

Calculated powder diffraction line list of HfZrH2Os for λ = 1.5418 Å (Cu Kα), from a cell relaxed with PBE.
Intensities are scaled so that the largest is 100.

Structure:
abc: 6.472 6.472 6.472
angles: 151.36 151.36 40.94
Element x y z (fractional)
Hf1 0.000 0.000 0.000
Zr1 0.276 0.276 0.000
H1 0.388 0.888 0.500
H2 0.888 0.388 0.500
Os1 0.634 0.634 0.000

Main lines, in order of rising 2θ (2θ from 5° to 70°):
- d 6.063, rel. 33
- d 2.510, rel. 100
- d 2.264, rel. 44
- d 1.933, rel. 25
- d 1.601, rel. 15
- d 1.349, rel. 29

Calculated powder diffraction line list of Hf3Mg4 for λ = 1.5418 Å (Cu Kα), from a cell relaxed with PBE.
Intensities are scaled so that the largest is 100.

Structure:
abc: 8.448 8.448 5.055
angles: 90.00 90.00 120.00
Element x y z (fractional)
Hf1 0.047 0.228 0.250
Hf2 0.181 0.953 0.250
Hf3 0.228 0.181 0.750
Hf4 0.772 0.819 0.250
Hf5 0.819 0.047 0.750
Hf6 0.953 0.772 0.750
Mg1 0.091 0.472 0.750
Mg2 0.333 0.667 0.250
Mg3 0.381 0.909 0.750
Mg4 0.472 0.381 0.250
Mg5 0.528 0.619 0.750
Mg6 0.619 0.091 0.250
Mg7 0.667 0.333 0.750
Mg8 0.909 0.528 0.250

Main lines, in order of rising 2θ (2θ from 5° to 70°):
- d 7.316, rel. 100
- d 3.241, rel. 18
- d 2.765, rel. 23
- d 2.527, rel. 20
- d 2.426, rel. 86
- d 1.439, rel. 17

Calculated powder diffraction line list of Ta5NbOs2 for λ = 1.5418 Å (Cu Kα), from a cell relaxed with PBE.
Intensities are scaled so that the largest is 100.

Structure:
abc: 5.168 5.168 5.156
angles: 90.00 90.00 90.00
Element x y z (fractional)
Ta1 0.000 0.000 0.000
Ta2 0.250 0.500 0.750
Ta3 0.500 0.250 0.250
Ta4 0.500 0.750 0.250
Ta5 0.750 0.500 0.750
Nb1 0.000 0.000 0.500
Os1 0.000 0.500 0.250
Os2 0.500 0.000 0.750

Main lines, in order of rising 2θ (2θ from 5° to 70°):
- d 2.581, rel. 39
- d 2.309, rel. 100
- d 2.108, rel. 88
- d 1.433, rel. 14
- d 1.431, rel. 9
- d 1.380, rel. 45

Calculated powder diffraction line list of ZrCdO3 for λ = 1.5418 Å (Cu Kα), from a cell relaxed with PBE.
Intensities are scaled so that the largest is 100.

Structure:
abc: 5.726 8.050 5.534
angles: 90.00 90.00 90.00
Element x y z (fractional)
Zr1 0.000 0.000 0.000
Zr2 0.000 0.500 0.000
Zr3 0.500 0.000 0.500
Zr4 0.500 0.500 0.500
Cd1 0.049 0.250 0.488
Cd2 0.451 0.750 0.988
Cd3 0.549 0.250 0.012
Cd4 0.951 0.750 0.512
O1 0.052 0.750 0.114
O2 0.192 0.561 0.688
O3 0.192 0.939 0.688
O4 0.308 0.061 0.188
O5 0.308 0.439 0.188
O6 0.448 0.250 0.614
O7 0.552 0.750 0.386
O8 0.692 0.561 0.812
O9 0.692 0.939 0.812
O10 0.808 0.061 0.312
O11 0.808 0.439 0.312
O12 0.948 0.250 0.886

Main lines, in order of rising 2θ (2θ from 5° to 70°):
- d 2.863, rel. 23
- d 2.830, rel. 100
- d 2.767, rel. 23
- d 1.990, rel. 21
- d 1.647, rel. 25
- d 1.609, rel. 23

Calculated powder diffraction line list of LuInFeNi for λ = 1.5418 Å (Cu Kα), from a cell relaxed with PBE.
Intensities are scaled so that the largest is 100.

Structure:
abc: 4.933 4.002 7.099
angles: 90.00 90.00 90.00
Element x y z (fractional)
Lu1 0.250 0.000 0.226
Lu2 0.750 0.000 0.774
In1 0.250 0.500 0.862
In2 0.750 0.500 0.138
Fe1 0.000 0.500 0.500
Fe2 0.500 0.500 0.500
Ni1 0.250 0.000 0.610
Ni2 0.750 0.000 0.390

Main lines, in order of rising 2θ (2θ from 5° to 70°):
- d 2.847, rel. 100
- d 2.656, rel. 32
- d 2.467, rel. 31
- d 2.338, rel. 65
- d 2.134, rel. 34
- d 2.001, rel. 32